This entry pairs a crystal structure of Li2VCrP2O8F2 with its computed PXRD pattern. Radiation: λ = 1.5418 Å (Cu Kα). Structure: a crystal structure in Alexandria, relaxed with GGA+U.
Intensities are scaled so that the largest is 100.

Peak list (6 most intense, 5° ≤ 2θ ≤ 70°, sorted by position)
2θ (°), d [Å], intensity
17.85, 4.969, 35
18.41, 4.820, 39
18.60, 4.770, 61
26.61, 3.350, 100
26.84, 3.321, 93
29.09, 3.070, 100

Structure:
```
data_Li2VCrP2O8F2
_chemical_formula_sum 'Li6 V3 Cr3 P6 O24 F6'
_cell_length_a 5.2085
_cell_length_b 7.3602
_cell_length_c 14.9736
_cell_angle_alpha 93.91
_cell_angle_beta 92.28
_cell_angle_gamma 108.65
_space_group_name_H-M_alt 'P -1'
_space_group_IT_number 2
loop_
_space_group_symop_operation_xyz
'x,y,z'
'-x,-y,-z'
loop_
_atom_site_label
_atom_site_type_symbol
_atom_site_fract_x
_atom_site_fract_y
_atom_site_fract_z
_atom_site_occupancy
Li1 Li 0.0660 0.4787 0.2944 1
Li2 Li 0.2683 0.8525 0.0376 1
Li3 Li 0.4007 0.8182 0.6280 1
V1 V 0.0000 0.5000 0.5000 1
V2 V 0.3331 0.3330 0.8335 1
Cr1 Cr 0.0000 0.0000 0.5000 1
Cr2 Cr 0.3346 0.8339 0.8330 1
P1 P 0.1069 0.0497 0.2859 1
P2 P 0.2246 0.2829 0.0486 1
P3 P 0.4401 0.3821 0.6191 1
O1 O 0.0088 0.1524 0.7630 1
O2 O 0.0457 0.8370 0.9144 1
O3 O 0.1029 0.8372 0.7214 1
O4 O 0.1419 0.2911 0.9485 1
O5 O 0.1922 0.0451 0.3860 1
O6 O 0.2378 0.5006 0.6119 1
O7 O 0.2873 0.4996 0.4178 1
O8 O 0.3223 0.1816 0.5701 1
O9 O 0.3407 0.4850 0.0972 1
O10 O 0.3766 0.1691 0.2481 1
O11 O 0.4341 0.1697 0.0552 1
O12 O 0.4745 0.6255 0.2810 1
F1 F 0.1550 0.7926 0.5227 1
F2 F 0.1790 0.5513 0.8105 1
F3 F 0.4891 0.1160 0.8565 1
```